HfPbO3: calculated X-ray powder pattern (Cu Kα (weighted mean of Kα1 and Kα2)), based on a cell relaxed with PBE.

Cell and atoms:
a = 4.155 Å, b = 4.155 Å, c = 4.155 Å
α = 90.00°, β = 90.00°, γ = 90.00°
Atoms (fractional coordinates):
Hf: 0.000 0.000 0.000
Pb: 0.500 0.500 0.500
O: 0.000 0.000 0.500
O: 0.000 0.500 0.000
O: 0.500 0.000 0.000

The 6 most intense peaks (10 to 90 degrees two-theta), sorted by position:
2.938 Å, I 1000
2.078 Å, I 264
1.696 Å, I 418
1.469 Å, I 170
1.314 Å, I 184
1.111 Å, I 230


HfTi4Pb5O15: calculated X-ray powder pattern (Cu Kα (weighted mean of Kα1 and Kα2)), based on a cell relaxed with PBE.

Cell and atoms:
a = 5.980 Å, b = 5.980 Å, c = 11.983 Å
α = 98.51°, β = 98.51°, γ = 55.34°
Atoms (fractional coordinates):
Hf: 0.000 0.000 0.000
Ti: 0.204 0.204 0.601
Ti: 0.394 0.394 0.201
Ti: 0.609 0.609 0.801
Ti: 0.802 0.802 0.405
Pb: 0.122 0.122 0.312
Pb: 0.321 0.321 0.912
Pb: 0.524 0.524 0.510
Pb: 0.717 0.717 0.121
Pb: 0.926 0.926 0.704
O: 0.058 0.562 0.286
O: 0.164 0.653 0.085
O: 0.169 0.169 0.090
O: 0.275 0.757 0.877
O: 0.360 0.360 0.675
O: 0.365 0.866 0.682
O: 0.463 0.960 0.482
O: 0.552 0.552 0.279
O: 0.562 0.058 0.286
O: 0.653 0.164 0.085
O: 0.757 0.275 0.877
O: 0.767 0.767 0.880
O: 0.866 0.365 0.682
O: 0.958 0.958 0.484
O: 0.960 0.463 0.482

The 6 most intense peaks (10 to 90 degrees two-theta), sorted by position:
2.961 Å, I 1000
2.777 Å, I 413
2.364 Å, I 211
1.964 Å, I 230
1.750 Å, I 222
1.637 Å, I 350


HfTi4Pb5O15: calculated X-ray powder pattern (Cu Kα (weighted mean of Kα1 and Kα2)), based on a cell relaxed with PBE.

Cell and atoms:
a = 3.971 Å, b = 19.705 Å, c = 4.333 Å
α = 90.00°, β = 90.00°, γ = 90.00°
Atoms (fractional coordinates):
Hf: 0.000 0.000 0.000
Ti: 0.000 0.202 0.988
Ti: 0.000 0.400 0.988
Ti: 0.000 0.600 0.988
Ti: 0.000 0.798 0.988
Pb: 0.500 0.103 0.450
Pb: 0.500 0.301 0.441
Pb: 0.500 0.500 0.439
Pb: 0.500 0.699 0.441
Pb: 0.500 0.897 0.450
O: 0.000 0.000 0.543
O: 0.000 0.105 0.078
O: 0.000 0.201 0.580
O: 0.000 0.301 0.079
O: 0.000 0.400 0.582
O: 0.000 0.500 0.078
O: 0.000 0.600 0.582
O: 0.000 0.699 0.079
O: 0.000 0.799 0.580
O: 0.000 0.895 0.078
O: 0.500 0.000 0.085
O: 0.500 0.201 0.077
O: 0.500 0.400 0.077
O: 0.500 0.600 0.077
O: 0.500 0.799 0.077

The 6 most intense peaks (10 to 90 degrees two-theta), sorted by position:
2.928 Å, I 1000
2.915 Å, I 985
2.797 Å, I 871
2.350 Å, I 453
1.713 Å, I 433
1.641 Å, I 370